This entry pairs a crystal structure of DyZrCd6 with its calculated powder diffractogram. Radiation: Cu Kα (weighted mean of Kα1 and Kα2). Structure: a DFT-relaxed cell (PBE, Alexandria).
Neutral-atom scattering factors, no anomalous dispersion.

Structural model:
```
data_DyZrCd6
_cell_length_a 4.578
_cell_length_b 4.578
_cell_length_c 8.718
_cell_angle_alpha 90.00
_cell_angle_beta 90.00
_cell_angle_gamma 90.00
_symmetry_space_group_name_H-M 'P 4/m m m'
_symmetry_Int_Tables_number 123
_symmetry_space_group_name_Hall '-P 4 2'
loop_
_atom_site_label
_atom_site_type_symbol
_atom_site_fract_x
_atom_site_fract_y
_atom_site_fract_z
_atom_site_occupancy
Dy1 Dy 0.000 0.000 0.000 1
Zr1 Zr 0.000 0.000 0.500 1
Cd1 Cd 0.000 0.500 0.260 1
Cd2 Cd 0.500 0.500 0.000 1
Cd3 Cd 0.500 0.500 0.500 1
```

Main lines, in order of rising 2θ (5° ≤ 2θ ≤ 70°):
2θ (°)  d [Å]  I_rel  hkl
21.93  4.053  2  1 0 1
29.43  3.035  2  1 1 1
30.77  2.906  1  0 0 3
34.51  2.599  100  1 1 2
39.37  2.289  35  2 0 0
41.43  2.180  15  0 0 4
56.89  1.618  11  2 2 0
58.47  1.578  20  2 0 4
60.29  1.535  1  1 1 5
68.27  1.374  26  3 1 2